Diffraction record for DyPSe2S2. The X-ray diffraction stick pattern is calculated, not measured: it uses a GGA-PBE-relaxed structure and Cu Kα.
Neutral-atom scattering factors, no anomalous dispersion.

Largest 10 diffraction maxima, in order of falling intensity, 10° ≤ 2θ ≤ 90°:
two_theta, I_rel
11.45, 100
28.55, 20
30.93, 17
30.39, 16
17.66, 10
30.25, 10
36.86, 10
20.84, 9
40.20, 8
40.04, 8

Structural model:
a = 6.5391 Å, b = 6.7885 Å, c = 7.7408 Å
α = 88.23°, β = 86.84°, γ = 84.60°
Atoms (fractional coordinates):
Dy  0.2027  0.2094  0.0573
Dy  0.7973  0.7906  0.9427
P  0.3084  0.7576  0.8155
P  0.6916  0.2424  0.1845
Se  0.1152  0.5096  0.7719
Se  0.3762  0.7715  0.0956
Se  0.6238  0.2285  0.9044
Se  0.8848  0.4904  0.2281
S  0.1009  0.0018  0.7678
S  0.4314  0.2527  0.3362
S  0.5686  0.7473  0.6638
S  0.8991  0.9982  0.2322



Diffraction record for KNaAgAsO4. The X-ray diffraction stick pattern is calculated, not measured: it uses a GGA-PBE-relaxed structure and Cu Kα.
Neutral-atom scattering factors, no anomalous dispersion.

Largest 10 diffraction maxima, in order of falling intensity, 10° ≤ 2θ ≤ 90°:
two_theta, I_rel
33.46, 100
19.73, 61
30.46, 46
56.07, 43
43.62, 26
36.56, 24
61.63, 19
86.52, 13
89.66, 11
71.96, 10

Structural model:
a = 5.4323 Å, b = 5.4323 Å, c = 5.4323 Å
α = 114.61°, β = 114.61°, γ = 99.62°
Atoms (fractional coordinates):
K  0.0000  0.0000  0.0000
Na  0.2500  0.7500  0.5000
Ag  0.7500  0.2500  0.5000
As  0.5000  0.5000  0.0000
O  0.1948  0.5382  0.0116
O  0.4618  0.4734  0.6566
O  0.5266  0.1832  0.9884
O  0.8168  0.8052  0.3434



Diffraction record for Nb2InC. The X-ray diffraction stick pattern is calculated, not measured: it uses a GGA-PBE-relaxed structure and Cu Kα.
Neutral-atom scattering factors, no anomalous dispersion.

Largest 10 diffraction maxima, in order of falling intensity, 10° ≤ 2θ ≤ 90°:
two_theta, I_rel
37.41, 100
32.29, 22
37.24, 21
57.59, 19
70.61, 19
67.26, 17
50.10, 16
70.71, 15
79.78, 4
67.59, 3

Structural model:
a = 3.2009 Å, b = 3.2009 Å, c = 14.4857 Å
α = 90.00°, β = 90.00°, γ = 120.00°
Atoms (fractional coordinates):
Nb  0.3333  0.6667  0.0826
Nb  0.3333  0.6667  0.4174
Nb  0.6667  0.3333  0.5826
Nb  0.6667  0.3333  0.9174
In  0.3333  0.6667  0.7500
In  0.6667  0.3333  0.2500
C  0.0000  0.0000  0.0000
C  0.0000  0.0000  0.5000



Diffraction record for BaNaTl4Pt2. The X-ray diffraction stick pattern is calculated, not measured: it uses a GGA-PBE-relaxed structure and Cu Kα.
Neutral-atom scattering factors, no anomalous dispersion.

Largest 10 diffraction maxima, in order of falling intensity, 10° ≤ 2θ ≤ 90°:
two_theta, I_rel
38.44, 100
30.02, 73
37.79, 61
15.80, 47
32.90, 47
40.12, 40
31.11, 31
18.96, 23
56.79, 22
61.44, 22

Structural model:
a = 8.4936 Å, b = 6.0414 Å, c = 6.0414 Å
α = 43.69°, β = 90.00°, γ = 90.00°
Atoms (fractional coordinates):
Ba  0.0000  0.0000  0.0000
Na  0.5000  0.1307  0.1307
Tl  0.2130  0.7089  0.7089
Tl  0.3104  0.4167  0.4167
Tl  0.6896  0.4167  0.4167
Tl  0.7870  0.7089  0.7089
Pt  0.0000  0.2859  0.2859
Pt  0.5000  0.8483  0.8483



Diffraction record for Be17Tc2. The X-ray diffraction stick pattern is calculated, not measured: it uses a GGA-PBE-relaxed structure and Cu Kα.
Neutral-atom scattering factors, no anomalous dispersion.

Largest 10 diffraction maxima, in order of falling intensity, 10° ≤ 2θ ≤ 90°:
two_theta, I_rel
24.62, 100
35.62, 95
16.46, 70
50.87, 52
43.35, 36
25.33, 32
22.04, 30
50.49, 28
74.50, 22
29.76, 20

Structural model:
a = 5.4578 Å, b = 5.4578 Å, c = 5.4578 Å
α = 82.97°, β = 82.97°, γ = 82.97°
Atoms (fractional coordinates):
Be  0.0000  0.0000  0.5000
Be  0.0000  0.3032  0.6968
Be  0.0000  0.5000  0.0000
Be  0.0000  0.6968  0.3032
Be  0.1017  0.1017  0.1017
Be  0.1607  0.6488  0.6488
Be  0.3032  0.0000  0.6968
Be  0.3032  0.6968  0.0000
Be  0.3512  0.3512  0.8393
Be  0.3512  0.8393  0.3512
Be  0.5000  0.0000  0.0000
Be  0.6488  0.1607  0.6488
Be  0.6488  0.6488  0.1607
Be  0.6968  0.0000  0.3032
Be  0.6968  0.3032  0.0000
Be  0.8393  0.3512  0.3512
Be  0.8983  0.8983  0.8983
Tc  0.3377  0.3377  0.3377
Tc  0.6623  0.6623  0.6623



Diffraction record for ZnPdNO. The X-ray diffraction stick pattern is calculated, not measured: it uses a GGA-PBE-relaxed structure and Cu Kα.
Neutral-atom scattering factors, no anomalous dispersion.

Largest 10 diffraction maxima, in order of falling intensity, 10° ≤ 2θ ≤ 90°:
two_theta, I_rel
30.81, 100
34.50, 91
35.91, 74
36.48, 58
48.47, 48
56.21, 28
67.25, 26
14.47, 22
52.76, 21
65.29, 20

Structural model:
a = 3.2966 Å, b = 6.1214 Å, c = 4.9262 Å
α = 90.00°, β = 90.00°, γ = 90.00°
Atoms (fractional coordinates):
Zn  0.0000  0.1474  0.0000
Zn  0.0000  0.8526  0.5000
Pd  0.5000  0.3918  0.4951
Pd  0.5000  0.6082  0.9951
N  0.5000  0.3013  0.8827
N  0.5000  0.6987  0.3827
O  0.0000  0.1625  0.4056
O  0.0000  0.8375  0.9056